No. 1
Theoretical X-ray diffraction stick pattern
Compound: BaSr7Co6Cu2O24
Radiation: Cu Ka
Structure: a cell relaxed with PBE+U
No peak broadening, texture or thermal motion is included.

Principal peaks in the range 10 to 80 degrees two-theta, low angle first:
2theta, intensity
32.58, 100.0
46.62, 12.4
46.81, 24.4
58.06, 12.6
58.18, 25.1
68.22, 17.6

```
BaSr7Co6Cu2O24
1.0
7.7932 0.0000 0.0000
0.0000 5.4941 5.4837
0.0000 -5.4941 5.4837
Ba Sr Co Cu O
1 7 6 2 24
Direct
0.0000 0.0000 0.0000
0.0000 0.9996 0.5009
0.0000 0.5009 0.9996
0.0000 0.5012 0.5012
0.5000 0.9998 0.9998
0.5000 0.9996 0.5012
0.5000 0.5012 0.9996
0.5000 0.5014 0.5014
0.2512 0.2518 0.7493
0.2512 0.7493 0.2518
0.2516 0.2515 0.2515
0.7484 0.2515 0.2515
0.7488 0.2518 0.7493
0.7488 0.7493 0.2518
0.2508 0.7502 0.7502
0.7492 0.7502 0.7502
0.0000 0.2540 0.2540
0.0000 0.2546 0.7450
0.0000 0.7433 0.7433
0.0000 0.7450 0.2546
0.2512 0.2517 0.4971
0.2509 0.4927 0.7498
0.2512 0.4971 0.2517
0.2509 0.7498 0.4927
0.2543 0.0040 0.2549
0.2543 0.2549 0.0040
0.2550 0.0093 0.7455
0.2550 0.7455 0.0093
0.5000 0.2520 0.2520
0.5000 0.2518 0.7495
0.5000 0.7495 0.2518
0.5000 0.7492 0.7492
0.7450 0.0093 0.7455
0.7450 0.7455 0.0093
0.7457 0.0040 0.2549
0.7457 0.2549 0.0040
0.7488 0.2517 0.4971
0.7491 0.4927 0.7498
0.7488 0.4971 0.2517
0.7491 0.7498 0.4927
```

No. 2
Theoretical X-ray diffraction stick pattern
Compound: CrSO9
Radiation: Cu Ka
Structure: a cell relaxed with PBE+U
No peak broadening, texture or thermal motion is included.

Principal peaks in the range 10 to 80 degrees two-theta, low angle first:
2theta, intensity
16.33, 30.4
16.83, 53.1
19.71, 100.0
25.01, 49.8
26.77, 24.4
29.83, 34.3

```
CrSO9
1.0
5.5154 0.0000 0.0000
1.9969 5.5598 0.0000
0.9946 2.1962 9.9704
Cr S O
2 2 18
Direct
0.0000 0.0000 0.0000
0.0000 0.5000 0.5000
0.3492 0.0340 0.7151
0.6508 0.9660 0.2849
0.0335 0.2338 0.4362
0.1607 0.2908 0.6766
0.1620 0.1826 0.0444
0.2075 0.7252 0.1159
0.2634 0.9198 0.8506
0.3031 0.5222 0.4300
0.3527 0.8842 0.6182
0.3901 0.9564 0.2758
0.4124 0.4287 0.9336
0.5876 0.5713 0.0664
0.6099 0.0436 0.7242
0.6473 0.1158 0.3818
0.6969 0.4778 0.5700
0.7366 0.0802 0.1494
0.7925 0.2748 0.8841
0.8380 0.8174 0.9556
0.8393 0.7092 0.3234
0.9665 0.7662 0.5638
```

No. 3
Theoretical X-ray diffraction stick pattern
Compound: Na2CoH8S2O12
Radiation: Cu Ka
Structure: a cell relaxed with PBE+U
No peak broadening, texture or thermal motion is included.

Principal peaks in the range 10 to 80 degrees two-theta, low angle first:
2theta, intensity
19.30, 68.4
20.80, 37.5
26.77, 100.0
26.96, 36.6
27.17, 19.9
33.83, 28.1

```
Na2CoH8S2O12
1.0
5.5796 0.0000 0.0000
0.0000 8.3671 0.0000
-1.8941 0.0000 11.0220
Na Co H S O
4 2 16 4 24
Direct
0.1207 0.0709 0.3615
0.1207 0.4291 0.8615
0.8793 0.5709 0.1385
0.8793 0.9291 0.6385
0.0000 0.0000 0.0000
0.0000 0.5000 0.5000
0.2312 0.6352 0.3456
0.2312 0.8648 0.8456
0.2359 0.0546 0.8187
0.2359 0.4454 0.3187
0.2423 0.7257 0.0137
0.2423 0.7743 0.5137
0.3280 0.6977 0.6398
0.3280 0.8023 0.1398
0.6720 0.1977 0.8602
0.6720 0.3023 0.3602
0.7577 0.2257 0.4863
0.7577 0.2743 0.9863
0.7641 0.5546 0.6813
0.7641 0.9454 0.1813
0.7688 0.1352 0.1544
0.7688 0.3648 0.6544
0.3739 0.2138 0.6359
0.3739 0.2862 0.1359
0.6261 0.7138 0.8641
0.6261 0.7862 0.3641
0.1311 0.5358 0.3377
0.1311 0.9642 0.8377
0.1795 0.7156 0.5789
0.1795 0.7844 0.0789
0.2128 0.0865 0.5773
0.2128 0.4135 0.0773
0.3127 0.1282 0.0767
0.3127 0.3718 0.5767
0.3569 0.2243 0.7688
0.3569 0.2757 0.2688
0.3648 0.6783 0.8730
0.3648 0.8217 0.3730
0.6352 0.1783 0.6270
0.6352 0.3217 0.1270
0.6431 0.7243 0.7312
0.6431 0.7757 0.2312
0.6873 0.6282 0.4233
0.6873 0.8718 0.9233
0.7872 0.5865 0.9227
0.7872 0.9135 0.4227
0.8205 0.2156 0.9211
0.8205 0.2844 0.4211
0.8689 0.0358 0.1623
0.8689 0.4642 0.6623
```

No. 4
Theoretical X-ray diffraction stick pattern
Compound: NaCo11O17
Radiation: Cu Ka
Structure: a cell relaxed with PBE+U
No peak broadening, texture or thermal motion is included.

Principal peaks in the range 10 to 80 degrees two-theta, low angle first:
2theta, intensity
15.41, 75.4
32.70, 100.0
35.05, 58.6
36.50, 53.5
39.31, 57.6
65.28, 53.2

```
NaCo11O17
1.0
5.7175 0.0000 0.0000
-2.8588 4.9515 0.0000
0.0000 0.0000 23.0050
Na Co O
2 22 34
Direct
0.3333 0.6667 0.2500
0.6667 0.3333 0.7500
0.0000 0.0000 0.0000
0.0000 0.0000 0.5000
0.1645 0.3290 0.1028
0.1645 0.3290 0.3972
0.1645 0.8355 0.1028
0.1645 0.8355 0.3972
0.3290 0.1645 0.6028
0.3290 0.1645 0.8972
0.3333 0.6667 0.5243
0.3333 0.6667 0.6721
0.3333 0.6667 0.8279
0.3333 0.6667 0.9757
0.6667 0.3333 0.0243
0.6667 0.3333 0.1721
0.6667 0.3333 0.3279
0.6667 0.3333 0.4757
0.6710 0.8355 0.1028
0.6710 0.8355 0.3972
0.8355 0.1645 0.6028
0.8355 0.1645 0.8972
0.8355 0.6710 0.6028
0.8355 0.6710 0.8972
0.0000 0.0000 0.1446
0.0000 0.0000 0.3554
0.0000 0.0000 0.6446
0.0000 0.0000 0.8554
0.0150 0.5075 0.1467
0.0150 0.5075 0.3533
0.1483 0.2965 0.5537
0.1483 0.2965 0.9463
0.1483 0.8517 0.5537
0.1483 0.8517 0.9463
0.2965 0.1483 0.0537
0.2965 0.1483 0.4463
0.3333 0.6667 0.0596
0.3333 0.6667 0.4404
0.3333 0.6667 0.7500
0.4925 0.5075 0.1467
0.4925 0.5075 0.3533
0.4925 0.9850 0.1467
0.4925 0.9850 0.3533
0.5075 0.0150 0.6467
0.5075 0.0150 0.8533
0.5075 0.4925 0.6467
0.5075 0.4925 0.8533
0.6667 0.3333 0.2500
0.6667 0.3333 0.5596
0.6667 0.3333 0.9404
0.7035 0.8517 0.5537
0.7035 0.8517 0.9463
0.8517 0.1483 0.0537
0.8517 0.1483 0.4463
0.8517 0.7035 0.0537
0.8517 0.7035 0.4463
0.9850 0.4925 0.6467
0.9850 0.4925 0.8533
```

No. 5
Theoretical X-ray diffraction stick pattern
Compound: Li4V3Fe3Sn2O16
Radiation: Cu Ka
Structure: a cell relaxed with PBE+U
No peak broadening, texture or thermal motion is included.

Principal peaks in the range 10 to 80 degrees two-theta, low angle first:
2theta, intensity
19.35, 100.0
24.99, 32.0
32.36, 33.2
35.12, 35.4
35.75, 20.5
59.11, 20.3

```
Li4V3Fe3Sn2O16
1.0
5.9873 0.0000 0.0000
-2.9799 5.1983 0.0000
-0.0273 -0.0295 9.8030
Li V Fe Sn O
4 3 3 2 16
Direct
0.0000 0.0000 0.0000
0.0015 0.0009 0.5011
0.3189 0.6612 0.1007
0.6529 0.3289 0.5984
0.1656 0.3407 0.7806
0.1677 0.8224 0.7770
0.3371 0.1689 0.2743
0.6629 0.8301 0.7798
0.8264 0.1684 0.2813
0.8271 0.6602 0.2813
0.3305 0.6659 0.5022
0.6599 0.3297 0.0025
0.0057 0.9921 0.6883
0.0097 0.0056 0.1874
0.0256 0.5245 0.6527
0.1572 0.3214 0.3945
0.1584 0.8383 0.3933
0.3181 0.1553 0.8951
0.3205 0.6769 0.8881
0.4708 0.9622 0.6569
0.4733 0.5145 0.6566
0.5024 0.4731 0.1551
0.5037 0.0313 0.1557
0.6357 0.3190 0.3868
0.6763 0.8393 0.3955
0.8362 0.6753 0.8947
0.8369 0.1594 0.8940
0.9535 0.4769 0.1551
```